No. 1
Simulated XRD peak list
Compound: HfCoAs
Radiation: Cu Kα (weighted mean of Kα1 and Kα2)
Structure: a structure optimized by DFT (PBE)

Crystal structure
```
data_HfCoAs
_chemical_formula_sum 'Hf4 Co4 As4'
_cell_length_a 6.472
_cell_length_b 3.824
_cell_length_c 7.259
_cell_angle_alpha 90.00
_cell_angle_beta 90.00
_cell_angle_gamma 90.00
_symmetry_space_group_name_H-M 'P 1'
_symmetry_Int_Tables_number 1
loop_
_symmetry_equiv_pos_as_xyz
'x,y,z'
loop_
_atom_site_label
_atom_site_type_symbol
_atom_site_fract_x
_atom_site_fract_y
_atom_site_fract_z
_atom_site_occupancy
Hf1 Hf 0.020 0.250 0.187 1
Hf2 Hf 0.480 0.750 0.687 1
Hf3 Hf 0.520 0.250 0.313 1
Hf4 Hf 0.980 0.750 0.813 1
Co1 Co 0.139 0.250 0.564 1
Co2 Co 0.361 0.750 0.064 1
Co3 Co 0.639 0.250 0.936 1
Co4 Co 0.861 0.750 0.436 1
As1 As 0.232 0.750 0.384 1
As2 As 0.268 0.250 0.884 1
As3 As 0.732 0.750 0.116 1
As4 As 0.768 0.250 0.616 1
```

Peak list (8 most intense, 10° ≤ 2θ ≤ 90°, in order of falling intensity)
38.5°, rel. 100.0
36.9°, rel. 65.7
47.6°, rel. 30.2
39.8°, rel. 30.0
44.3°, rel. 26.2
37.2°, rel. 22.6
26.3°, rel. 22.0
72.4°, rel. 17.0

---

No. 2
Simulated XRD peak list
Compound: LiTm2Pt
Radiation: Cu Kα (weighted mean of Kα1 and Kα2)
Structure: a structure optimized by DFT (PBE)

Crystal structure
```
data_LiTm2Pt
_chemical_formula_sum 'Li4 Tm8 Pt4'
_cell_length_a 6.938
_cell_length_b 6.938
_cell_length_c 6.938
_cell_angle_alpha 90.00
_cell_angle_beta 90.00
_cell_angle_gamma 90.00
_symmetry_space_group_name_H-M 'P 1'
_symmetry_Int_Tables_number 1
loop_
_symmetry_equiv_pos_as_xyz
'x,y,z'
loop_
_atom_site_label
_atom_site_type_symbol
_atom_site_fract_x
_atom_site_fract_y
_atom_site_fract_z
_atom_site_occupancy
Li1 Li 0.000 0.000 0.000 1
Li2 Li 0.000 0.500 0.500 1
Li3 Li 0.500 0.000 0.500 1
Li4 Li 0.500 0.500 0.000 1
Tm1 Tm 0.250 0.250 0.250 1
Tm2 Tm 0.250 0.250 0.750 1
Tm3 Tm 0.250 0.750 0.250 1
Tm4 Tm 0.250 0.750 0.750 1
Tm5 Tm 0.750 0.250 0.250 1
Tm6 Tm 0.750 0.250 0.750 1
Tm7 Tm 0.750 0.750 0.250 1
Tm8 Tm 0.750 0.750 0.750 1
Pt1 Pt 0.000 0.000 0.500 1
Pt2 Pt 0.000 0.500 0.000 1
Pt3 Pt 0.500 0.000 0.000 1
Pt4 Pt 0.500 0.500 0.500 1
```

Peak list (8 most intense, 10° ≤ 2θ ≤ 90°, in order of falling intensity)
36.6°, rel. 100.0
66.0°, rel. 36.5
22.2°, rel. 28.9
52.8°, rel. 17.8
89.3°, rel. 16.9
43.2°, rel. 15.5
77.9°, rel. 11.4
25.7°, rel. 8.6

---

No. 3
Simulated XRD peak list
Compound: Cd3Fe
Radiation: Cu Kα (weighted mean of Kα1 and Kα2)
Structure: a structure optimized by DFT (PBE)

Crystal structure
```
data_Cd3Fe
_chemical_formula_sum 'Cd12 Fe4'
_cell_length_a 6.732
_cell_length_b 6.732
_cell_length_c 6.732
_cell_angle_alpha 90.00
_cell_angle_beta 90.00
_cell_angle_gamma 90.00
_symmetry_space_group_name_H-M 'P 1'
_symmetry_Int_Tables_number 1
loop_
_symmetry_equiv_pos_as_xyz
'x,y,z'
loop_
_atom_site_label
_atom_site_type_symbol
_atom_site_fract_x
_atom_site_fract_y
_atom_site_fract_z
_atom_site_occupancy
Cd1 Cd 0.000 0.000 0.000 1
Cd2 Cd 0.000 0.500 0.500 1
Cd3 Cd 0.250 0.250 0.250 1
Cd4 Cd 0.250 0.250 0.750 1
Cd5 Cd 0.250 0.750 0.250 1
Cd6 Cd 0.250 0.750 0.750 1
Cd7 Cd 0.500 0.000 0.500 1
Cd8 Cd 0.500 0.500 0.000 1
Cd9 Cd 0.750 0.250 0.250 1
Cd10 Cd 0.750 0.250 0.750 1
Cd11 Cd 0.750 0.750 0.250 1
Cd12 Cd 0.750 0.750 0.750 1
Fe1 Fe 0.000 0.000 0.500 1
Fe2 Fe 0.000 0.500 0.000 1
Fe3 Fe 0.500 0.000 0.000 1
Fe4 Fe 0.500 0.500 0.500 1
```

Peak list (8 most intense, 10° ≤ 2θ ≤ 90°, in order of falling intensity)
37.8°, rel. 100.0
68.3°, rel. 32.4
54.5°, rel. 16.5
80.8°, rel. 10.1
22.9°, rel. 4.5
26.5°, rel. 2.4
44.6°, rel. 2.4
59.9°, rel. 1.0

---

No. 4
Simulated XRD peak list
Compound: Nd2Re3Si5
Radiation: Cu Kα (weighted mean of Kα1 and Kα2)
Structure: a structure optimized by DFT (PBE)

Crystal structure
```
data_Nd2Re3Si5
_chemical_formula_sum 'Nd8 Re12 Si20'
_cell_length_a 11.036
_cell_length_b 11.036
_cell_length_c 5.740
_cell_angle_alpha 90.00
_cell_angle_beta 90.00
_cell_angle_gamma 90.00
_symmetry_space_group_name_H-M 'P 1'
_symmetry_Int_Tables_number 1
loop_
_symmetry_equiv_pos_as_xyz
'x,y,z'
loop_
_atom_site_label
_atom_site_type_symbol
_atom_site_fract_x
_atom_site_fract_y
_atom_site_fract_z
_atom_site_occupancy
Nd1 Nd 0.077 0.236 0.000 1
Nd2 Nd 0.236 0.923 0.000 1
Nd3 Nd 0.264 0.423 0.500 1
Nd4 Nd 0.423 0.736 0.500 1
Nd5 Nd 0.577 0.264 0.500 1
Nd6 Nd 0.736 0.577 0.500 1
Nd7 Nd 0.764 0.077 0.000 1
Nd8 Nd 0.923 0.764 0.000 1
Re1 Re 0.000 0.500 0.250 1
Re2 Re 0.000 0.500 0.750 1
Re3 Re 0.125 0.852 0.500 1
Re4 Re 0.148 0.125 0.500 1
Re5 Re 0.352 0.625 0.000 1
Re6 Re 0.375 0.352 0.000 1
Re7 Re 0.500 0.000 0.250 1
Re8 Re 0.500 0.000 0.750 1
Re9 Re 0.625 0.648 0.000 1
Re10 Re 0.648 0.375 0.000 1
Re11 Re 0.852 0.875 0.500 1
Re12 Re 0.875 0.148 0.500 1
Si1 Si 0.000 0.000 0.263 1
Si2 Si 0.000 0.000 0.737 1
Si3 Si 0.024 0.317 0.500 1
Si4 Si 0.171 0.671 0.250 1
Si5 Si 0.171 0.671 0.750 1
Si6 Si 0.183 0.476 0.000 1
Si7 Si 0.317 0.976 0.500 1
Si8 Si 0.329 0.171 0.250 1
Si9 Si 0.329 0.171 0.750 1
Si10 Si 0.476 0.817 0.000 1
Si11 Si 0.500 0.500 0.237 1
Si12 Si 0.500 0.500 0.763 1
Si13 Si 0.524 0.183 0.000 1
Si14 Si 0.671 0.829 0.250 1
Si15 Si 0.671 0.829 0.750 1
Si16 Si 0.683 0.024 0.500 1
Si17 Si 0.817 0.524 0.000 1
Si18 Si 0.829 0.329 0.250 1
Si19 Si 0.829 0.329 0.750 1
Si20 Si 0.976 0.683 0.500 1
```

Peak list (8 most intense, 10° ≤ 2θ ≤ 90°, in order of falling intensity)
25.5°, rel. 100.0
37.1°, rel. 78.8
30.0°, rel. 76.8
39.0°, rel. 52.7
33.3°, rel. 52.5
36.4°, rel. 52.4
47.1°, rel. 47.8
45.6°, rel. 33.3

---

No. 5
Simulated XRD peak list
Compound: Cs2InGaI6
Radiation: Cu Kα (weighted mean of Kα1 and Kα2)
Structure: a structure optimized by DFT (PBE)

Crystal structure
```
data_Cs2InGaI6
_chemical_formula_sum 'Cs2 In1 Ga1 I6'
_cell_length_a 8.646
_cell_length_b 8.646
_cell_length_c 8.646
_cell_angle_alpha 60.00
_cell_angle_beta 60.00
_cell_angle_gamma 60.00
_symmetry_space_group_name_H-M 'P 1'
_symmetry_Int_Tables_number 1
loop_
_symmetry_equiv_pos_as_xyz
'x,y,z'
loop_
_atom_site_label
_atom_site_type_symbol
_atom_site_fract_x
_atom_site_fract_y
_atom_site_fract_z
_atom_site_occupancy
Cs1 Cs 0.250 0.250 0.250 1
Cs2 Cs 0.750 0.750 0.750 1
In1 In 0.000 0.000 0.000 1
Ga1 Ga 0.500 0.500 0.500 1
I1 I 0.244 0.244 0.756 1
I2 I 0.244 0.756 0.244 1
I3 I 0.244 0.756 0.756 1
I4 I 0.756 0.244 0.244 1
I5 I 0.756 0.244 0.756 1
I6 I 0.756 0.756 0.244 1
```

Peak list (8 most intense, 10° ≤ 2θ ≤ 90°, in order of falling intensity)
29.2°, rel. 100.0
25.2°, rel. 90.7
41.8°, rel. 74.2
49.4°, rel. 41.7
68.7°, rel. 33.0
51.8°, rel. 26.0
76.3°, rel. 24.4
66.7°, rel. 16.8

---

No. 6
Simulated XRD peak list
Compound: Mn2RuC6N6
Radiation: Cu Kα (weighted mean of Kα1 and Kα2)
Structure: a structure optimized by DFT (PBE)

Crystal structure
```
data_Mn2RuC6N6
_chemical_formula_sum 'Mn2 Ru1 C6 N6'
_cell_length_a 6.080
_cell_length_b 6.080
_cell_length_c 6.779
_cell_angle_alpha 90.00
_cell_angle_beta 90.00
_cell_angle_gamma 120.00
_symmetry_space_group_name_H-M 'P 1'
_symmetry_Int_Tables_number 1
loop_
_symmetry_equiv_pos_as_xyz
'x,y,z'
loop_
_atom_site_label
_atom_site_type_symbol
_atom_site_fract_x
_atom_site_fract_y
_atom_site_fract_z
_atom_site_occupancy
Mn1 Mn 0.333 0.667 0.000 1
Mn2 Mn 0.667 0.333 0.000 1
Ru1 Ru 0.000 0.000 0.500 1
C1 C 0.000 0.255 0.688 1
C2 C 0.000 0.745 0.312 1
C3 C 0.255 0.000 0.688 1
C4 C 0.255 0.255 0.312 1
C5 C 0.745 0.000 0.312 1
C6 C 0.745 0.745 0.688 1
N1 N 0.000 0.384 0.819 1
N2 N 0.000 0.616 0.181 1
N3 N 0.384 0.000 0.819 1
N4 N 0.384 0.384 0.181 1
N5 N 0.616 0.000 0.181 1
N6 N 0.616 0.616 0.819 1
```

Peak list (8 most intense, 10° ≤ 2θ ≤ 90°, in order of falling intensity)
21.4°, rel. 100.0
39.8°, rel. 40.3
47.6°, rel. 17.2
29.4°, rel. 16.9
36.6°, rel. 15.1
53.4°, rel. 13.4
32.3°, rel. 11.5
52.1°, rel. 11.2

---

No. 7
Simulated XRD peak list
Compound: Ag4PIO4
Radiation: Cu Kα (weighted mean of Kα1 and Kα2)
Structure: a structure optimized by DFT (PBE)

Crystal structure
```
data_Ag4PIO4
_chemical_formula_sum 'Ag16 P4 I4 O16'
_cell_length_a 9.316
_cell_length_b 6.928
_cell_length_c 11.315
_cell_angle_alpha 90.00
_cell_angle_beta 108.52
_cell_angle_gamma 90.00
_symmetry_space_group_name_H-M 'P 1'
_symmetry_Int_Tables_number 1
loop_
_symmetry_equiv_pos_as_xyz
'x,y,z'
loop_
_atom_site_label
_atom_site_type_symbol
_atom_site_fract_x
_atom_site_fract_y
_atom_site_fract_z
_atom_site_occupancy
Ag1 Ag 0.006 0.038 0.282 1
Ag2 Ag 0.006 0.462 0.282 1
Ag3 Ag 0.290 0.018 0.040 1
Ag4 Ag 0.290 0.482 0.040 1
Ag5 Ag 0.314 0.250 0.280 1
Ag6 Ag 0.356 0.036 0.576 1
Ag7 Ag 0.356 0.464 0.576 1
Ag8 Ag 0.379 0.250 0.808 1
Ag9 Ag 0.621 0.750 0.192 1
Ag10 Ag 0.644 0.536 0.424 1
Ag11 Ag 0.644 0.964 0.424 1
Ag12 Ag 0.686 0.750 0.720 1
Ag13 Ag 0.710 0.518 0.960 1
Ag14 Ag 0.710 0.982 0.960 1
Ag15 Ag 0.994 0.538 0.718 1
Ag16 Ag 0.994 0.962 0.718 1
P1 P 0.307 0.750 0.299 1
P2 P 0.363 0.750 0.824 1
P3 P 0.637 0.250 0.176 1
P4 P 0.693 0.250 0.701 1
I1 I 0.052 0.250 0.070 1
I2 I 0.096 0.250 0.524 1
I3 I 0.904 0.750 0.476 1
I4 I 0.948 0.750 0.930 1
O1 O 0.132 0.750 0.270 1
O2 O 0.267 0.564 0.826 1
O3 O 0.267 0.936 0.826 1
O4 O 0.351 0.750 0.175 1
O5 O 0.377 0.565 0.375 1
O6 O 0.377 0.935 0.375 1
O7 O 0.408 0.750 0.701 1
O8 O 0.494 0.250 0.058 1
O9 O 0.506 0.750 0.942 1
O10 O 0.592 0.250 0.299 1
O11 O 0.623 0.065 0.625 1
O12 O 0.623 0.435 0.625 1
O13 O 0.649 0.250 0.825 1
O14 O 0.733 0.064 0.174 1
O15 O 0.733 0.436 0.174 1
O16 O 0.868 0.250 0.730 1
```

Peak list (8 most intense, 10° ≤ 2θ ≤ 90°, in order of falling intensity)
33.8°, rel. 100.0
34.1°, rel. 76.0
30.4°, rel. 54.8
31.6°, rel. 50.8
16.3°, rel. 36.7
30.7°, rel. 20.4
35.9°, rel. 19.1
50.0°, rel. 16.5

---

Which formula does entry 1 have? HfCoAs